1.
Theoretical powder X-ray diffraction pattern of Li2Mn3NiO8 for λ = 1.5418 Å (Cu Kα), from a cell relaxed with PBE+U.

Largest 6 diffraction maxima, in order of rising 2θ, 10 to 90 degrees two-theta:
2θ (°), Rel. int., (hkl)
18.52, 63, 0 0 2
19.96, 100, 1 0 1
36.22, 60, 1 1 2
37.02, 48, 2 0 1
45.98, 56, 2 0 3
60.81, 46, 2 0 5

Atomic structure:
```
data_Li2Mn3NiO8
_symmetry_space_group_name_H-M 'P 63 m c'
_symmetry_Int_Tables_number 186
_symmetry_space_group_name_Hall 'P 6c -2c'
_cell_length_a 5.7974
_cell_length_b 5.7974
_cell_length_c 9.5829
_cell_angle_alpha 90.00
_cell_angle_beta 90.00
_cell_angle_gamma 120.00
loop_
_atom_site_label
_atom_site_type_symbol
_atom_site_fract_x
_atom_site_fract_y
_atom_site_fract_z
Li1 Li 0.0000 0.0000 0.0000
Li2 Li 0.3333 0.6667 0.3870
Mn1 Mn 0.1687 0.3374 0.7163
Ni1 Ni 0.3333 0.6667 0.9904
O1 O 0.0000 0.0000 0.3132
O2 O 0.0351 0.5175 0.8318
O3 O 0.1585 0.3170 0.1082
O4 O 0.3333 0.6667 0.6100
```

2.
Theoretical powder X-ray diffraction pattern of Li2MnNiO4 for λ = 1.5418 Å (Cu Kα), from a cell relaxed with PBE+U.

Largest 6 diffraction maxima, in order of rising 2θ, 10 to 90 degrees two-theta:
2θ (°), Rel. int., (hkl)
24.25, 100, 1 1 1
37.68, 20, 2 2 0
41.94, 27, 0 4 0
44.68, 48, 2 0 2
51.48, 23, 3 1 1
62.94, 27, 2 4 2

Atomic structure:
```
data_Li2MnNiO4
_symmetry_space_group_name_H-M 'C 2 2 2'
_symmetry_Int_Tables_number 21
_cell_length_a 5.738
_cell_length_b 8.616
_cell_length_c 5.736
_cell_angle_alpha 90.00
_cell_angle_beta 90.00
_cell_angle_gamma 90.00
loop_
_symmetry_equiv_pos_as_xyz
'x,y,z'
'-x,-y,z'
'x,-y,-z'
'-x,y,-z'
'x+1/2,y+1/2,z'
'-x+1/2,-y+1/2,z'
'x+1/2,-y+1/2,-z'
'-x+1/2,y+1/2,-z'
loop_
_atom_site_label
_atom_site_type_symbol
_atom_site_fract_x
_atom_site_fract_y
_atom_site_fract_z
Li1 Li 0.000 0.000 0.000
Li2 Li 0.000 0.500 0.500
Li3 Li 0.250 0.250 0.750
Mn1 Mn 0.000 0.000 0.500
Mn2 Mn 0.000 0.500 0.000
Ni1 Ni 0.250 0.250 0.248
O1 O 0.000 0.222 0.500
O2 O 0.000 0.276 0.000
O3 O 0.241 0.489 0.241
```

3.
Theoretical powder X-ray diffraction pattern of Li2Mn3NiO8 for λ = 1.5418 Å (Cu Kα), from a cell relaxed with PBE+U.

Largest 6 diffraction maxima, in order of rising 2θ, 10 to 90 degrees two-theta:
2θ (°), Rel. int., (hkl)
18.26, 36, 0 0 3
18.60, 100, 1 0 1
35.93, 36, 1 1 3
43.62, 74, 0 2 4
62.91, 22, 2 0 8
63.88, 22, 2 2 0

Atomic structure:
```
data_Li2Mn3NiO8
_symmetry_space_group_name_H-M 'R -3 m'
_symmetry_Int_Tables_number 166
_symmetry_space_group_name_Hall '-R 3 2"'
_cell_length_a 5.8285
_cell_length_b 5.8285
_cell_length_c 14.5774
_cell_angle_alpha 90.00
_cell_angle_beta 90.00
_cell_angle_gamma 120.00
loop_
_atom_site_label
_atom_site_type_symbol
_atom_site_fract_x
_atom_site_fract_y
_atom_site_fract_z
Li1 Li 0.0000 0.0000 0.1198
Mn1 Mn 0.0000 0.5000 0.0000
Ni1 Ni 0.0000 0.0000 0.5000
O1 O 0.0000 0.0000 0.2630
O2 O 0.0293 0.5146 0.2611
```

4.
Theoretical powder X-ray diffraction pattern of Li2Mn3NiO8 for λ = 1.5418 Å (Cu Kα), from a cell relaxed with PBE+U.

Largest 6 diffraction maxima, in order of rising 2θ, 10 to 90 degrees two-theta:
2θ (°), Rel. int., (hkl)
18.04, 100, 0 0 1
36.16, 33, 2 2 -1
43.37, 19, 4 0 0
43.56, 37, 2 2 -2
62.24, 10, 2 2 2
64.06, 10, 6 2 -2

Atomic structure:
```
data_Li2Mn3NiO8
_symmetry_space_group_name_H-M 'C 1 2/m 1'
_symmetry_Int_Tables_number 12
_cell_length_a 10.062
_cell_length_b 5.829
_cell_length_c 5.930
_cell_angle_alpha 90.00
_cell_angle_beta 123.97
_cell_angle_gamma 90.00
loop_
_symmetry_equiv_pos_as_xyz
'x,y,z'
'-x,-y,-z'
'-x,y,-z'
'x,-y,z'
'x+1/2,y+1/2,z'
'-x+1/2,-y+1/2,-z'
'-x+1/2,y+1/2,-z'
'x+1/2,-y+1/2,z'
loop_
_atom_site_label
_atom_site_type_symbol
_atom_site_fract_x
_atom_site_fract_y
_atom_site_fract_z
Li1 Li 0.000 0.000 0.000
Li2 Li 0.000 0.500 0.000
Mn1 Mn 0.000 0.000 0.500
Mn2 Mn 0.250 0.250 0.500
Ni1 Ni 0.000 0.500 0.500
O1 O 0.019 0.236 0.287
O2 O 0.236 0.000 0.706
O3 O 0.246 0.500 0.706
```